Li4FeTe3O12: calculated PXRD pattern (Cu Kα), based on the GGA+U geometry in Alexandria.
Kinematic intensities with the Lorentz-polarization factor, no thermal factor.

Crystal structure
Cell lengths 5.0396, 8.6314, 5.2296 Å; angles 90.00, 91.08, 90.00 degrees
Space group P2 (No. 3)
One atom of each set of equivalent atoms:
Li 0.0000 0.0000 0.0000 (multiplicity 1)
Li 0.0000 0.3291 0.5000 (multiplicity 1)
Li 0.5000 0.4461 0.5000 (multiplicity 1)
Li 0.5000 0.8599 0.0000 (multiplicity 1)
Fe 0.5000 0.2506 0.0000 (multiplicity 1)
Te 0.0000 0.5478 0.0000 (multiplicity 1)
Te 0.0000 0.7539 0.5000 (multiplicity 1)
Te 0.5000 0.0724 0.5000 (multiplicity 1)
O 0.2064 0.7234 0.8372 (multiplicity 2)
O 0.2080 0.5751 0.3221 (multiplicity 2)
O 0.2346 0.4030 0.8442 (multiplicity 2)
O 0.2633 0.9104 0.3364 (multiplicity 2)
O 0.2977 0.2348 0.3279 (multiplicity 2)
O 0.3021 0.0677 0.8103 (multiplicity 2)

Principal peaks in the range 10 to 90 degrees two-theta, in order of falling intensity:
2θ (°)	d/Å	I (rel.)	h k l
20.41	4.351	100	1 1 0
19.85	4.472	42	0 1 1
32.05	2.793	34	1 2 -1
32.42	2.762	34	1 2 1
35.62	2.520	23	0 3 1
39.91	2.259	17	1 1 -2
62.26	1.491	16	0 3 3
51.52	1.774	14	2 3 1
51.02	1.790	14	2 3 -1
40.54	2.225	12	1 1 2